Sm3ZnIn2: calculated XRD peak list (CuKα), based on a cell relaxed with PBE.

Largest 10 diffraction maxima, by angle, 10 to 90 degrees two-theta:
d/Å, two_theta, I/Imax
2.688, 33.33, 100
2.620, 34.23, 49
1.953, 46.49, 9
1.852, 49.19, 17
1.566, 58.98, 16
1.525, 60.72, 35
1.344, 70.00, 10
1.310, 72.12, 5
1.177, 81.80, 8
1.171, 82.31, 8

Cell and atoms:
Cell lengths 3.705, 3.705, 11.721 Å; angles 90.00, 90.00, 90.00 degrees
Positions (direct):
Sm 0.000 0.000 0.000
Sm 0.000 0.000 0.351
Sm 0.000 0.000 0.649
Zn 0.500 0.500 0.500
In 0.500 0.500 0.177
In 0.500 0.500 0.823



Nd5Dy6Th2: calculated XRD peak list (CuKα), based on a cell relaxed with PBE.

Largest 10 diffraction maxima, by angle, 10 to 90 degrees two-theta:
d/Å, two_theta, I/Imax
3.086, 28.94, 27
2.999, 29.79, 19
2.909, 30.74, 50
2.872, 31.15, 100
2.802, 31.94, 77
2.642, 33.92, 55
2.596, 34.55, 21
2.464, 36.46, 20
1.799, 50.75, 19
1.524, 60.77, 21

Cell and atoms:
Cell lengths 11.585, 21.035, 3.598 Å; angles 90.00, 90.00, 90.00 degrees
Positions (direct):
Nd 0.000 0.000 0.000
Nd 0.063 0.294 0.000
Nd 0.191 0.578 0.000
Nd 0.309 0.078 0.000
Nd 0.437 0.794 0.000
Nd 0.500 0.500 0.000
Nd 0.563 0.206 0.000
Nd 0.691 0.922 0.000
Nd 0.809 0.422 0.000
Nd 0.937 0.706 0.000
Dy 0.063 0.148 0.500
Dy 0.081 0.438 0.500
Dy 0.186 0.876 0.000
Dy 0.314 0.376 0.000
Dy 0.419 0.938 0.500
Dy 0.437 0.648 0.500
Dy 0.563 0.352 0.500
Dy 0.581 0.062 0.500
Dy 0.686 0.624 0.000
Dy 0.814 0.124 0.000
Dy 0.919 0.562 0.500
Dy 0.937 0.852 0.500
Th 0.190 0.736 0.500
Th 0.310 0.236 0.500
Th 0.690 0.764 0.500
Th 0.810 0.264 0.500



La2Zn2HRh2: calculated XRD peak list (CuKα), based on a cell relaxed with PBE.

Largest 10 diffraction maxima, by angle, 10 to 90 degrees two-theta:
d/Å, two_theta, I/Imax
2.823, 31.69, 29
2.780, 32.20, 58
2.734, 32.75, 28
2.673, 33.52, 100
2.445, 36.76, 40
2.294, 39.28, 73
2.160, 41.83, 44
1.693, 54.17, 19
1.619, 56.89, 22
1.510, 61.42, 24

Cell and atoms:
Cell lengths 5.887, 5.887, 7.616 Å; angles 128.63, 128.63, 43.04 degrees
Positions (direct):
La 0.042 0.042 0.310
La 0.958 0.958 0.690
Zn 0.343 0.343 0.884
Zn 0.657 0.657 0.116
H 0.500 0.500 0.500
Rh 0.309 0.309 0.196
Rh 0.691 0.691 0.804



What is the formula in the first record?
Sm3ZnIn2